Starting from a structure optimized by DFT (GGA-PBE), the X-ray diffraction stick pattern of SmRe2O8 was simulated for copper Kα.
Neutral-atom scattering factors, no anomalous dispersion.

The 10 most intense peaks (2θ from 5° to 70°), by intensity:
2θ = 26.00°, I 100
2θ = 45.86°, I 41
2θ = 15.83°, I 27
2θ = 18.30°, I 27
2θ = 53.47°, I 18
2θ = 60.39°, I 18
2θ = 37.10°, I 12
2θ = 40.56°, I 10
2θ = 41.67°, I 8
2θ = 31.98°, I 7

Unit cell a=6.855 b=6.855 c=6.855 alpha=60.00 beta=60.00 gamma=60.00
Fractional coordinates of all 11 atoms:
Sm  0.000  0.000  0.000
Re  0.250  0.250  0.250
Re  0.750  0.750  0.750
O  0.145  0.145  0.145
O  0.145  0.145  0.566
O  0.145  0.566  0.145
O  0.434  0.855  0.855
O  0.566  0.145  0.145
O  0.855  0.434  0.855
O  0.855  0.855  0.434
O  0.855  0.855  0.855